Starting from a GGA-PBE-relaxed structure, the XRD peak list of HgMo6S8 was simulated for Cu Ka.

Largest 10 diffraction maxima, by angle, 5 to 70 degrees two-theta:
- 2θ 18.6, I 76
- 2θ 19.6, I 55
- 2θ 23.0, I 45
- 2θ 29.7, I 100
- 2θ 33.1, I 43
- 2θ 40.2, I 76
- 2θ 42.8, I 40
- 2θ 43.2, I 51
- 2θ 44.3, I 52
- 2θ 45.6, I 67

Structural model:
Unit cell a=6.5890 b=6.5890 c=6.5890 alpha=92.93 beta=92.93 gamma=92.93
Element x y z (fractional)
Hg: 0.0000 0.0000 0.0000
Mo: 0.2195 0.5537 0.4076
Mo: 0.4076 0.2195 0.5537
Mo: 0.4463 0.5924 0.7805
Mo: 0.5537 0.4076 0.2195
Mo: 0.5924 0.7805 0.4463
Mo: 0.7805 0.4463 0.5924
S: 0.1322 0.3816 0.7220
S: 0.2269 0.2269 0.2269
S: 0.2780 0.8678 0.6184
S: 0.3816 0.7220 0.1322
S: 0.6184 0.2780 0.8678
S: 0.7220 0.1322 0.3816
S: 0.7731 0.7731 0.7731
S: 0.8678 0.6184 0.2780


Starting from a GGA-PBE-relaxed structure, the XRD peak list of In3Sn was simulated for Cu Ka.

Largest 5 diffraction maxima, by angle, 5 to 70 degrees two-theta:
- 2θ 32.3, I 100
- 2θ 37.5, I 50
- 2θ 54.0, I 34
- 2θ 64.4, I 40
- 2θ 67.6, I 12

Structural model:
Unit cell a=4.8000 b=4.8000 c=4.8000 alpha=90.00 beta=90.00 gamma=90.00
Element x y z (fractional)
In: 0.0000 0.0000 0.5000
In: 0.0000 0.5000 0.0000
In: 0.5000 0.0000 0.0000
Sn: 0.5000 0.5000 0.5000


Starting from a GGA-PBE-relaxed structure, the XRD peak list of NdSi3Ir was simulated for Cu Ka.

Largest 10 diffraction maxima, by angle, 5 to 70 degrees two-theta:
- 2θ 18.0, I 22
- 2θ 22.7, I 52
- 2θ 29.6, I 63
- 2θ 34.4, I 100
- 2θ 34.9, I 41
- 2θ 42.4, I 45
- 2θ 50.9, I 18
- 2θ 55.7, I 51
- 2θ 61.5, I 15
- 2θ 64.5, I 17

Structural model:
Unit cell a=5.7880 b=5.7880 c=5.7880 alpha=136.78 beta=136.78 gamma=62.77
Element x y z (fractional)
Nd: 0.0000 0.0000 0.0000
Si: 0.2644 0.7644 0.5000
Si: 0.4150 0.4150 0.0000
Si: 0.7644 0.2644 0.5000
Ir: 0.6555 0.6555 0.0000


Starting from a GGA-PBE-relaxed structure, the XRD peak list of NdCd2 was simulated for Cu Ka.

Largest 10 diffraction maxima, by angle, 5 to 70 degrees two-theta:
- 2θ 26.1, I 55
- 2θ 32.2, I 7
- 2θ 32.4, I 100
- 2θ 42.0, I 91
- 2θ 53.6, I 6
- 2θ 57.2, I 4
- 2θ 57.8, I 18
- 2θ 64.0, I 21
- 2θ 64.5, I 25
- 2θ 67.9, I 11

Structural model:
Unit cell a=5.5239 b=5.5239 c=3.4202 alpha=90.00 beta=90.00 gamma=120.00
Element x y z (fractional)
Nd: 0.0000 0.0000 0.0000
Cd: 0.3333 0.6667 0.9515
Cd: 0.6667 0.3333 0.0485


Starting from a GGA-PBE-relaxed structure, the XRD peak list of BaCu2O2 was simulated for Cu Ka.

Largest 10 diffraction maxima, by angle, 5 to 70 degrees two-theta:
- 2θ 28.0, I 25
- 2θ 30.6, I 60
- 2θ 30.8, I 29
- 2θ 35.7, I 100
- 2θ 47.5, I 15
- 2θ 47.6, I 16
- 2θ 54.7, I 11
- 2θ 57.8, I 29
- 2θ 58.1, I 17
- 2θ 64.3, I 11

Structural model:
Unit cell a=6.5236 b=6.5236 c=6.5236 alpha=127.24 beta=127.24 gamma=77.86
Element x y z (fractional)
Ba: 0.3750 0.6250 0.7500
Ba: 0.6250 0.3750 0.2500
Cu: 0.0000 0.0000 0.0000
Cu: 0.0000 0.0000 0.5000
Cu: 0.0000 0.5000 0.0000
Cu: 0.5000 0.0000 0.5000
O: 0.1129 0.3629 0.7500
O: 0.3629 0.1129 0.2500
O: 0.6371 0.8871 0.7500
O: 0.8871 0.6371 0.2500


Starting from a GGA-PBE-relaxed structure, the XRD peak list of YZnSn2 was simulated for Cu Ka.

Largest 10 diffraction maxima, by angle, 5 to 70 degrees two-theta:
- 2θ 27.0, I 9
- 2θ 27.2, I 11
- 2θ 30.3, I 10
- 2θ 34.2, I 100
- 2θ 36.2, I 12
- 2θ 41.3, I 36
- 2θ 41.9, I 6
- 2θ 50.1, I 7
- 2θ 56.1, I 13
- 2θ 59.9, I 13

Structural model:
Unit cell a=4.3677 b=4.3677 c=9.9185 alpha=90.00 beta=90.00 gamma=90.00
Element x y z (fractional)
Y: 0.2500 0.2500 0.2503
Y: 0.7500 0.7500 0.7497
Zn: 0.2500 0.7500 0.0000
Zn: 0.7500 0.2500 0.0000
Sn: 0.2500 0.2500 0.8151
Sn: 0.2500 0.7500 0.5000
Sn: 0.7500 0.2500 0.5000
Sn: 0.7500 0.7500 0.1849